The following is a simulated PXRD pattern of Ce4Ga2Tc. It was derived from the GGA-PBE geometry in Alexandria, using Cu Ka.
Intensities are scaled so that the largest is 100.

Structure:
```
Ce4Ga2Tc
1.0
7.856 0.000 0.000
0.000 8.759 0.000
0.000 0.000 4.646
Ce Ga Tc
8 4 2
Cartesian
1.350 0.000 0.000 Ce
1.964 2.190 2.323 Ce
1.964 6.569 2.323 Ce
2.579 4.379 0.000 Ce
5.278 4.379 0.000 Ce
5.892 2.190 2.323 Ce
5.892 6.569 2.323 Ce
6.507 0.000 0.000 Ce
0.000 2.853 0.000 Ga
0.000 5.906 0.000 Ga
3.928 1.527 0.000 Ga
3.928 7.232 0.000 Ga
0.000 4.379 2.323 Tc
3.928 0.000 2.323 Tc
```

Most intense lines, 2θ = 10–90°, by intensity:
36.3°, I = 100, hkl 2 2 1; 28.0°, I = 36, hkl 0 2 1; 38.8°, I = 35, hkl 0 0 2; 38.2°, I = 32, hkl 1 3 1; 35.8°, I = 27, hkl 3 1 0; 24.5°, I = 20, hkl 1 1 1; 68.6°, I = 18, hkl 2 2 3; 41.2°, I = 17, hkl 0 4 0